# RbTiPS5
Calculated X-ray diffraction stick pattern, Cu Kα, 1.54184 Å. Input: a PBE-relaxed structure.

Structure:
```
RbTiPS5
1.0
9.2980 -3.5834 0.0000
9.2980 3.5834 0.0000
-8.7899 0.0000 13.4758
Rb Ti P S
4 4 4 20
Cartesian
-0.1460 0.0000 4.8892
-3.7844 0.0000 11.5559
13.5905 0.0000 1.9199
9.9521 0.0000 8.5866
4.9031 1.9735 6.7379
9.2980 1.5753 0.0000
9.2980 -1.5753 0.0000
4.9031 -1.9735 6.7379
2.2730 0.0000 1.2783
2.6385 0.0000 8.0614
7.1676 0.0000 5.4144
7.5332 0.0000 12.1975
-7.2185 0.0000 12.7755
-0.8049 1.9040 11.4139
-3.1882 0.0000 7.9110
6.1973 1.6687 4.6825
3.6088 1.6687 8.7933
4.2372 0.0000 1.4844
0.6850 0.0000 8.3115
10.6110 1.9040 2.0619
3.3074 0.0000 6.0689
8.1116 0.0000 1.1496
1.6945 0.0000 12.3261
6.4988 0.0000 7.4068
-0.8049 -1.9040 11.4139
9.1211 0.0000 5.1643
5.5689 0.0000 11.9913
6.1973 -1.6687 4.6825
3.6088 -1.6687 8.7933
12.9943 0.0000 5.5648
10.6110 -1.9040 2.0619
17.0246 0.0000 0.7003
```

Largest 6 diffraction maxima, by intensity, 10° ≤ 2θ ≤ 90°:
two_theta	I (rel.)
27.38	100.0
13.14	79.7
21.13	71.0
26.46	65.8
16.56	62.1
21.65	60.7